No. 1
The following is a calculated powder XRD pattern of Lu3Ga5. It was derived from a GGA-PBE-relaxed structure, using copper Kα.
No peak broadening, texture or thermal motion is included.

Most intense lines, 2θ from 5° to 70°, low angle first:
d_spacing, I_rel
3.112, 56
2.900, 45
2.774, 66
2.645, 78
2.542, 56
2.480, 100
2.420, 77
2.391, 89
2.341, 82
2.145, 63

Structural model:
a = 11.2219 Å, b = 9.5651 Å, c = 6.0034 Å
α = 90.00°, β = 90.00°, γ = 90.00°
Atoms (fractional coordinates):
1 Lu 0.0722 0.2500 0.1527
2 Lu 0.1473 0.5100 0.6090
3 Lu 0.1473 0.9900 0.6090
4 Lu 0.3527 0.0100 0.1090
5 Lu 0.3527 0.4900 0.1090
6 Lu 0.4278 0.7500 0.6527
7 Lu 0.5722 0.2500 0.3473
8 Lu 0.6473 0.5100 0.8910
9 Lu 0.6473 0.9900 0.8910
10 Lu 0.8527 0.0100 0.3910
11 Lu 0.8527 0.4900 0.3910
12 Lu 0.9278 0.7500 0.8473
13 Ga 0.0069 0.2500 0.6258
14 Ga 0.0912 0.5511 0.1261
15 Ga 0.0912 0.9489 0.1261
16 Ga 0.2016 0.7500 0.8925
17 Ga 0.2493 0.7500 0.3276
18 Ga 0.2507 0.2500 0.8276
19 Ga 0.2984 0.2500 0.3925
20 Ga 0.4088 0.0511 0.6261
21 Ga 0.4088 0.4489 0.6261
22 Ga 0.4931 0.7500 0.1258
23 Ga 0.5069 0.2500 0.8742
24 Ga 0.5912 0.5511 0.3739
25 Ga 0.5912 0.9489 0.3739
26 Ga 0.7016 0.7500 0.6075
27 Ga 0.7493 0.7500 0.1724
28 Ga 0.7507 0.2500 0.6724
29 Ga 0.7984 0.2500 0.1075
30 Ga 0.9088 0.0511 0.8739
31 Ga 0.9088 0.4489 0.8739
32 Ga 0.9931 0.7500 0.3742



No. 2
The following is a calculated powder XRD pattern of LuGa2. It was derived from a GGA-PBE-relaxed structure, using copper Kα.
No peak broadening, texture or thermal motion is included.

Most intense lines, 2θ from 5° to 70°, low angle first:
d_spacing, I_rel
3.738, 15
2.689, 49
2.616, 28
2.522, 100
2.282, 14
2.276, 14
2.194, 14
2.105, 24
1.745, 10
1.427, 19

Structural model:
a = 9.1461 Å, b = 6.8356 Å, c = 4.2092 Å
α = 90.00°, β = 117.25°, γ = 90.00°
Atoms (fractional coordinates):
1 Lu 0.1895 0.0000 0.4400
2 Lu 0.3105 0.5000 0.5600
3 Lu 0.6895 0.5000 0.4400
4 Lu 0.8105 0.0000 0.5600
5 Ga 0.0901 0.2991 0.8396
6 Ga 0.0901 0.7009 0.8396
7 Ga 0.4099 0.2009 0.1604
8 Ga 0.4099 0.7991 0.1604
9 Ga 0.5901 0.2009 0.8396
10 Ga 0.5901 0.7991 0.8396
11 Ga 0.9099 0.2991 0.1604
12 Ga 0.9099 0.7009 0.1604



No. 3
The following is a calculated powder XRD pattern of LuMgGa. It was derived from a GGA-PBE-relaxed structure, using copper Kα.
No peak broadening, texture or thermal motion is included.

Most intense lines, 2θ from 5° to 70°, low angle first:
d_spacing, I_rel
3.829, 88
3.316, 27
2.345, 100
2.000, 46
1.914, 8
1.658, 17
1.521, 19
1.483, 10
1.354, 35

Structural model:
a = 6.6317 Å, b = 6.6317 Å, c = 6.6317 Å
α = 90.00°, β = 90.00°, γ = 90.00°
Atoms (fractional coordinates):
1 Lu 0.0000 0.0000 0.0000
2 Lu 0.0000 0.5000 0.5000
3 Lu 0.5000 0.0000 0.5000
4 Lu 0.5000 0.5000 0.0000
5 Mg 0.0000 0.0000 0.5000
6 Mg 0.0000 0.5000 0.0000
7 Mg 0.5000 0.0000 0.0000
8 Mg 0.5000 0.5000 0.5000
9 Ga 0.2500 0.2500 0.7500
10 Ga 0.2500 0.7500 0.2500
11 Ga 0.7500 0.2500 0.2500
12 Ga 0.7500 0.7500 0.7500



No. 4
The following is a calculated powder XRD pattern of LuMn6Ga6. It was derived from a GGA-PBE-relaxed structure, using copper Kα.
No peak broadening, texture or thermal motion is included.

Most intense lines, 2θ from 5° to 70°, low angle first:
d_spacing, I_rel
3.088, 21
3.048, 28
2.828, 14
2.523, 24
2.420, 13
2.216, 100
2.171, 34
2.124, 54
1.926, 14
1.906, 13

Structural model:
a = 8.8725 Å, b = 6.8042 Å, c = 6.6435 Å
α = 82.56°, β = 49.50°, γ = 47.94°
Atoms (fractional coordinates):
1 Lu 0.0000 0.0000 0.0000
2 Mn 0.0000 0.0000 0.5000
3 Mn 0.0029 0.6482 0.3518
4 Mn 0.3518 0.9971 0.0029
5 Mn 0.5000 0.5000 0.0000
6 Mn 0.6482 0.0029 0.9971
7 Mn 0.9971 0.3518 0.6482
8 Ga 0.0000 0.5000 0.0000
9 Ga 0.2591 0.5100 0.4900
10 Ga 0.4900 0.7409 0.2591
11 Ga 0.5000 0.0000 0.5000
12 Ga 0.5100 0.2591 0.7409
13 Ga 0.7409 0.4900 0.5100



No. 5
The following is a calculated powder XRD pattern of LuMnGa2. It was derived from a GGA-PBE-relaxed structure, using copper Kα.
No peak broadening, texture or thermal motion is included.

Most intense lines, 2θ from 5° to 70°, low angle first:
d_spacing, I_rel
6.559, 9
3.276, 8
2.929, 24
2.316, 100
2.185, 8
1.640, 4
1.637, 12
1.589, 9
1.465, 5
1.429, 6

Structural model:
a = 3.2737 Å, b = 3.2737 Å, c = 6.5587 Å
α = 90.00°, β = 90.00°, γ = 90.00°
Atoms (fractional coordinates):
1 Lu 0.0000 0.0000 0.0000
2 Mn 0.0000 0.0000 0.5000
3 Ga 0.5000 0.5000 0.2949
4 Ga 0.5000 0.5000 0.7051



No. 6
The following is a calculated powder XRD pattern of LuGa4Ni. It was derived from a GGA-PBE-relaxed structure, using copper Kα.
No peak broadening, texture or thermal motion is included.

Most intense lines, 2θ from 5° to 70°, low angle first:
d_spacing, I_rel
2.533, 100
2.487, 17
2.425, 22
2.409, 22
2.343, 34
2.279, 32
2.264, 21
2.033, 36
1.999, 18
1.658, 17

Structural model:
a = 4.0667 Å, b = 6.6336 Å, c = 7.7710 Å
α = 90.00°, β = 104.77°, γ = 90.00°
Atoms (fractional coordinates):
1 Lu 0.1256 0.2500 0.2469
2 Lu 0.8744 0.7500 0.7531
3 Ga 0.0669 0.7500 0.1352
4 Ga 0.3157 0.0519 0.6328
5 Ga 0.3157 0.4481 0.6328
6 Ga 0.5000 0.0000 0.0000
7 Ga 0.5000 0.5000 0.0000
8 Ga 0.6842 0.5519 0.3672
9 Ga 0.6842 0.9481 0.3672
10 Ga 0.9331 0.2500 0.8648
11 Ni 0.2253 0.7500 0.4509
12 Ni 0.7747 0.2500 0.5491



No. 7
The following is a calculated powder XRD pattern of Lu4Ga12Ni. It was derived from a GGA-PBE-relaxed structure, using copper Kα.
No peak broadening, texture or thermal motion is included.

Most intense lines, 2θ from 5° to 70°, low angle first:
d_spacing, I_rel
4.244, 14
3.001, 30
2.450, 100
2.269, 4
2.122, 57
1.898, 10
1.810, 4
1.733, 10
1.501, 35
1.415, 5

Structural model:
a = 7.3513 Å, b = 7.3513 Å, c = 7.3513 Å
α = 109.47°, β = 109.47°, γ = 109.47°
Atoms (fractional coordinates):
1 Lu 0.0000 0.0000 0.5000
2 Lu 0.0000 0.5000 0.0000
3 Lu 0.5000 0.0000 0.0000
4 Lu 0.5000 0.5000 0.5000
5 Ga 0.0000 0.2866 0.2866
6 Ga 0.0000 0.7134 0.7134
7 Ga 0.2500 0.5000 0.7500
8 Ga 0.2500 0.7500 0.5000
9 Ga 0.2866 0.0000 0.2866
10 Ga 0.2866 0.2866 0.0000
11 Ga 0.5000 0.2500 0.7500
12 Ga 0.5000 0.7500 0.2500
13 Ga 0.7134 0.0000 0.7134
14 Ga 0.7134 0.7134 0.0000
15 Ga 0.7500 0.2500 0.5000
16 Ga 0.7500 0.5000 0.2500
17 Ni 0.0000 0.0000 0.0000



No. 8
The following is a calculated powder XRD pattern of LuGa2Ni3. It was derived from a GGA-PBE-relaxed structure, using copper Kα.
No peak broadening, texture or thermal motion is included.

Most intense lines, 2θ from 5° to 70°, low angle first:
d_spacing, I_rel
3.583, 23
2.765, 72
2.511, 42
2.333, 100
2.174, 58
2.137, 64
2.036, 49
1.918, 26
1.582, 20
1.486, 34

Structural model:
a = 8.6978 Å, b = 8.6978 Å, c = 4.0730 Å
α = 90.00°, β = 90.00°, γ = 120.00°
Atoms (fractional coordinates):
1 Lu 0.0000 0.0000 0.0000
2 Lu 0.3333 0.6667 0.5000
3 Lu 0.6667 0.3333 0.5000
4 Ga 0.0000 0.2700 0.5000
5 Ga 0.0000 0.5187 0.0000
6 Ga 0.2700 0.0000 0.5000
7 Ga 0.4813 0.4813 0.0000
8 Ga 0.5187 0.0000 0.0000
9 Ga 0.7300 0.7300 0.5000
10 Ni 0.0000 0.7049 0.5000
11 Ni 0.1743 0.3738 0.0000
12 Ni 0.1995 0.8257 0.0000
13 Ni 0.2951 0.2951 0.5000
14 Ni 0.3738 0.1743 0.0000
15 Ni 0.6262 0.8005 0.0000
16 Ni 0.7049 0.0000 0.5000
17 Ni 0.8005 0.6262 0.0000
18 Ni 0.8257 0.1995 0.0000



No. 9
The following is a calculated powder XRD pattern of LuGa2Ni. It was derived from a GGA-PBE-relaxed structure, using copper Kα.
No peak broadening, texture or thermal motion is included.

Most intense lines, 2θ from 5° to 70°, low angle first:
d_spacing, I_rel
3.788, 15
3.317, 13
2.496, 100
2.388, 85
2.302, 38
2.053, 35
2.016, 23
1.673, 13
1.439, 16
1.383, 13

Structural model:
a = 4.1062 Å, b = 6.6337 Å, c = 5.3190 Å
α = 90.00°, β = 112.61°, γ = 90.00°
Atoms (fractional coordinates):
1 Lu 0.0746 0.2500 0.1487
2 Lu 0.9254 0.7500 0.8513
3 Ga 0.3597 0.0527 0.7193
4 Ga 0.3597 0.4473 0.7193
5 Ga 0.6403 0.5527 0.2807
6 Ga 0.6403 0.9473 0.2807
7 Ni 0.2091 0.7500 0.4181
8 Ni 0.7909 0.2500 0.5819



No. 10
The following is a calculated powder XRD pattern of LuTiGaNi. It was derived from a GGA-PBE-relaxed structure, using copper Kα.
No peak broadening, texture or thermal motion is included.

Most intense lines, 2θ from 5° to 70°, low angle first:
d_spacing, I_rel
3.764, 29
3.260, 7
2.305, 100
1.966, 16
1.882, 2
1.630, 17
1.496, 7
1.458, 3

Structural model:
a = 6.5198 Å, b = 6.5198 Å, c = 6.5198 Å
α = 90.00°, β = 90.00°, γ = 90.00°
Atoms (fractional coordinates):
1 Lu 0.0000 0.0000 0.0000
2 Lu 0.0000 0.5000 0.5000
3 Lu 0.5000 0.0000 0.5000
4 Lu 0.5000 0.5000 0.0000
5 Ti 0.0000 0.0000 0.5000
6 Ti 0.0000 0.5000 0.0000
7 Ti 0.5000 0.0000 0.0000
8 Ti 0.5000 0.5000 0.5000
9 Ga 0.2500 0.2500 0.2500
10 Ga 0.2500 0.7500 0.7500
11 Ga 0.7500 0.2500 0.7500
12 Ga 0.7500 0.7500 0.2500
13 Ni 0.2500 0.2500 0.7500
14 Ni 0.2500 0.7500 0.2500
15 Ni 0.7500 0.2500 0.2500
16 Ni 0.7500 0.7500 0.7500